Starting from a structure optimized by DFT (GGA-PBE), the X-ray powder pattern of VCoMoPt was simulated for copper Kα.

Principal peaks in the range 2θ = 10–90°, most intense first:
(1 1 1), 2.188 Å, I = 100
(1 0 0), 3.651 Å, I = 19
(0 1 1), 2.733 Å, I = 18
(0 0 2), 1.945 Å, I = 17
(0 2 0), 1.920 Å, I = 17
(2 0 0), 1.826 Å, I = 14
(1 1 3), 1.165 Å, I = 13
(1 3 1), 1.153 Å, I = 12
(3 1 1), 1.112 Å, I = 11
(2 2 2), 1.094 Å, I = 11

Cell and atoms:
```
data_VCoMoPt
_chemical_formula_sum 'V1 Co1 Mo1 Pt1'
_cell_length_a 3.651
_cell_length_b 3.840
_cell_length_c 3.891
_cell_angle_alpha 90.00
_cell_angle_beta 90.00
_cell_angle_gamma 90.00
_symmetry_space_group_name_H-M 'P m m m'
_symmetry_Int_Tables_number 47
_symmetry_space_group_name_Hall '-P 2 2'
loop_
_atom_site_label
_atom_site_type_symbol
_atom_site_fract_x
_atom_site_fract_y
_atom_site_fract_z
V1 V 0.000 0.000 0.000
Co1 Co 0.000 0.500 0.500
Mo1 Mo 0.500 0.500 0.000
Pt1 Pt 0.500 0.000 0.500
```